Simulated powder diffractogram of LiNiP3O9 for Cu Kα (λ = 1.5418 Å), from the PBE+U geometry in the Materials Project.

Structural model:
Cell: 9.360 9.380 9.633 Å, 104.66 109.76 108.75°
Space group P-1 (No. 2)
Asymmetric unit:
1 Li 0.067 0.153 0.496
2 Li 0.154 0.861 0.326
3 Ni 0.229 0.251 0.276
4 Ni 0.297 0.597 0.212
5 P 0.090 0.688 0.925
6 P 0.151 0.014 0.900
7 P 0.214 0.444 0.840
8 P 0.342 0.073 0.709
9 P 0.393 0.497 0.647
10 P 0.438 0.808 0.592
11 O 0.016 0.061 0.252
12 O 0.074 0.286 0.702
13 O 0.098 0.384 0.190
14 O 0.140 0.691 0.093
15 O 0.168 0.595 0.832
16 O 0.175 0.137 0.047
17 O 0.178 0.003 0.556
18 O 0.190 0.868 0.938
19 O 0.251 0.345 0.503
20 O 0.273 0.451 0.007
21 O 0.306 0.096 0.864
22 O 0.320 0.768 0.420
23 O 0.364 0.652 0.632
24 O 0.375 0.133 0.356
25 O 0.377 0.500 0.806
26 O 0.408 0.934 0.713
27 O 0.427 0.471 0.322
28 O 0.483 0.231 0.748

Most intense lines, 2θ = 15–90°, most intense first:
(2 -3 1), d = 2.845 Å, I = 100; (2 2 -2), d = 2.723 Å, I = 80; (1 0 -3), d = 3.085 Å, I = 51; (1 1 -2), d = 4.418 Å, I = 50; (1 2 -1), d = 3.510 Å, I = 48; (0 0 2), d = 4.142 Å, I = 47; (2 0 0), d = 3.940 Å, I = 46; (-1 1 1), d = 5.781 Å, I = 43; (1 0 1), d = 4.729 Å, I = 42; (-1 1 2), d = 3.735 Å, I = 39